# 1
Ho2ScAu3: theoretical X-ray diffraction stick pattern (copper Kα), based on the PBE geometry in Alexandria.
No peak broadening, texture or thermal motion is included.

Peak list (10 most intense, 5° ≤ 2θ ≤ 70°, by angle)
d (Å)  Rel. int.
10.697  4
3.502  7
3.328  5
2.930  7
2.498  100
2.476  51
1.783  8
1.751  18
1.447  17
1.434  36

Crystal structure
```
6
Lattice="3.502 0.000 0.000 0.000 3.502 0.000 0.000 0.000 10.697" Properties=species:S:1:pos:R:3 pbc="T T T"
Ho 0.000 0.000 1.839
Ho 0.000 0.000 8.857
Sc 0.000 0.000 5.348
Au 1.751 1.751 0.000
Au 1.751 1.751 3.724
Au 1.751 1.751 6.973
```

# 2
BaPu2SnAs4: theoretical X-ray diffraction stick pattern (copper Kα), based on the PBE geometry in Alexandria.
No peak broadening, texture or thermal motion is included.

Peak list (10 most intense, 5° ≤ 2θ ≤ 70°, by angle)
d (Å)  Rel. int.
6.514  26
3.994  39
3.659  22
3.592  33
3.159  36
2.951  100
2.664  26
2.356  21
2.297  25
2.164  65

Crystal structure
```
16
Lattice="2.166 -7.317 0.000 2.166 7.317 0.000 0.000 0.000 14.302" Properties=species:S:1:pos:R:3 pbc="T T T"
Ba 2.166 5.520 10.726
Ba 2.166 -5.520 3.575
Pu 2.166 1.835 7.934
Pu 2.166 1.835 13.518
Pu 2.166 -1.835 0.784
Pu 2.166 -1.835 6.367
Sn 2.166 5.100 3.575
Sn 2.166 -5.100 10.726
As 0.000 0.000 0.000
As 0.000 0.000 7.151
As 2.166 3.519 1.520
As 2.166 3.519 5.631
As 2.166 0.677 10.726
As 2.166 -0.677 3.575
As 2.166 -3.519 8.671
As 2.166 -3.519 12.781
```

# 3
TcTe4W: theoretical X-ray diffraction stick pattern (copper Kα), based on the PBE geometry in Alexandria.
No peak broadening, texture or thermal motion is included.

Peak list (10 most intense, 5° ≤ 2θ ≤ 70°, by angle)
d (Å)  Rel. int.
7.539  100
3.092  10
2.941  15
2.748  79
2.657  32
2.273  14
2.191  11
2.042  28
1.801  14
1.764  13

Crystal structure
```
6
Lattice="7.720 -1.764 0.000 7.720 1.764 0.000 -1.357 0.000 6.156" Properties=species:S:1:pos:R:3 pbc="T T T"
Tc 0.000 0.000 0.000
Te 1.725 0.000 2.056
Te 5.693 0.000 0.219
Te 8.194 0.000 5.007
Te 13.261 0.000 3.489
W 7.395 0.000 2.286
```

Number 3 is which compound? TcTe4W